[1]
Starting from a crystal structure in Alexandria, relaxed with PBE, the XRD peak list of Pm3Np2O9 was simulated for Cu Ka.

Atomic structure:
Unit cell a=14.216 b=14.216 c=14.216 alpha=164.08 beta=164.08 gamma=22.59
Positions (direct):
Pm  0.000  0.000  0.000
Pm  0.408  0.408  0.000
Pm  0.592  0.592  0.000
Np  0.196  0.196  0.000
Np  0.804  0.804  0.000
O  0.055  0.555  0.500
O  0.172  0.672  0.500
O  0.328  0.828  0.500
O  0.445  0.945  0.500
O  0.550  0.050  0.500
O  0.656  0.156  0.500
O  0.750  0.250  0.500
O  0.844  0.344  0.500
O  0.950  0.450  0.500

Peak list (6 most intense, 2θ = 10–90°, by angle)
two_theta, Rel. int.
27.73, 100
32.13, 36
46.08, 47
54.64, 43
74.19, 16
85.36, 13

---

[2]
Starting from a crystal structure in Alexandria, relaxed with PBE, the XRD peak list of Pm4Np6O19 was simulated for Cu Ka.

Atomic structure:
Unit cell a=8.470 b=8.470 c=8.470 alpha=109.47 beta=109.47 gamma=109.47
Positions (direct):
Pm  0.000  0.000  0.711
Pm  0.000  0.711  0.000
Pm  0.289  0.289  0.289
Pm  0.711  0.000  0.000
Np  0.176  0.676  0.500
Np  0.324  0.500  0.824
Np  0.500  0.176  0.676
Np  0.500  0.824  0.324
Np  0.676  0.500  0.176
Np  0.824  0.324  0.500
O  0.000  0.000  0.000
O  0.000  0.358  0.358
O  0.000  0.642  0.642
O  0.022  0.257  0.668
O  0.235  0.978  0.646
O  0.257  0.668  0.022
O  0.332  0.589  0.354
O  0.354  0.332  0.589
O  0.358  0.000  0.358
O  0.358  0.358  0.000
O  0.411  0.743  0.765
O  0.589  0.354  0.332
O  0.642  0.000  0.642
O  0.642  0.642  0.000
O  0.646  0.235  0.978
O  0.668  0.022  0.257
O  0.743  0.765  0.411
O  0.765  0.411  0.743
O  0.978  0.646  0.235

Peak list (6 most intense, 2θ = 10–90°, by angle)
two_theta, Rel. int.
22.26, 37
28.87, 100
31.69, 23
34.31, 74
47.40, 45
58.14, 25

---

[3]
Starting from a crystal structure in Alexandria, relaxed with PBE, the XRD peak list of RbPm2NpO8 was simulated for Cu Ka.

Atomic structure:
Unit cell a=4.083 b=8.274 c=5.428 alpha=90.00 beta=96.33 gamma=90.00
Positions (direct):
Rb  0.000  0.000  0.000
Pm  0.500  0.278  0.500
Pm  0.500  0.722  0.500
Np  0.000  0.500  0.000
O  0.037  0.309  0.763
O  0.037  0.691  0.763
O  0.418  0.000  0.618
O  0.452  0.500  0.227
O  0.548  0.500  0.773
O  0.582  0.000  0.382
O  0.963  0.309  0.237
O  0.963  0.691  0.237

Peak list (6 most intense, 2θ = 10–90°, by angle)
two_theta, Rel. int.
10.69, 61
25.98, 66
27.16, 100
28.95, 56
30.87, 57
44.03, 40

---

[4]
Starting from a crystal structure in Alexandria, relaxed with PBE, the XRD peak list of Rb2PmNpO6 was simulated for Cu Ka.

Atomic structure:
Unit cell a=6.228 b=6.228 c=6.228 alpha=60.00 beta=60.00 gamma=60.00
Positions (direct):
Rb  0.250  0.250  0.250
Rb  0.750  0.750  0.750
Pm  0.000  0.000  0.000
Np  0.500  0.500  0.500
O  0.268  0.268  0.732
O  0.268  0.732  0.268
O  0.268  0.732  0.732
O  0.732  0.268  0.268
O  0.732  0.268  0.732
O  0.732  0.732  0.268

Peak list (6 most intense, 2θ = 10–90°, by angle)
two_theta, Rel. int.
20.17, 25
28.67, 100
40.99, 29
50.79, 42
67.23, 19
81.85, 22

---

[5]
Starting from a crystal structure in Alexandria, relaxed with PBE, the XRD peak list of PmSm2NpO8 was simulated for Cu Ka.

Atomic structure:
Unit cell a=3.952 b=7.577 c=5.512 alpha=90.00 beta=94.37 gamma=90.00
Positions (direct):
Pm  0.000  0.000  0.000
Sm  0.500  0.243  0.500
Sm  0.500  0.757  0.500
Np  0.000  0.500  0.000
O  0.031  0.283  0.766
O  0.031  0.717  0.766
O  0.448  0.500  0.218
O  0.495  0.000  0.746
O  0.505  0.000  0.254
O  0.552  0.500  0.782
O  0.969  0.283  0.234
O  0.969  0.717  0.234

Peak list (6 most intense, 2θ = 10–90°, by angle)
two_theta, Rel. int.
26.82, 59
28.62, 100
28.87, 50
32.79, 46
45.58, 39
48.20, 32